For Ti3Nb2W, a cell relaxed with GGA-PBE gives the simulated XRD peak list in this record (λ = 1.5418 Å (Cu Kα)).

Structural model:
a b c (Å): 7.3799 7.3799 4.3467
angles (deg): 90.00 90.00 70.48
Positions (direct):
Ti 0.0730 0.9270 0.7500
Ti 0.0965 0.3459 0.2500
Ti 0.3459 0.0965 0.7500
Ti 0.6541 0.9035 0.2500
Ti 0.9035 0.6541 0.7500
Ti 0.9270 0.0730 0.2500
Nb 0.2874 0.4902 0.7500
Nb 0.4902 0.2874 0.2500
Nb 0.5098 0.7126 0.7500
Nb 0.7126 0.5098 0.2500
W 0.2642 0.7358 0.2500
W 0.7358 0.2642 0.7500

Main lines, in order of rising 2θ (10° ≤ 2θ ≤ 90°):
2θ/deg, intensity
12.73, 33
14.70, 56
32.10, 76
38.61, 100
41.55, 39
42.21, 54
44.27, 35
82.72, 21

---

For Ti3Nb2Zn3, a cell relaxed with GGA-PBE gives the simulated XRD peak list in this record (λ = 1.5418 Å (Cu Kα)).

Structural model:
a b c (Å): 8.7897 8.7897 8.7897
angles (deg): 153.96 153.89 37.21
Positions (direct):
Ti 0.0000 0.0000 0.0000
Ti 0.1183 0.6183 0.5000
Ti 0.8817 0.3817 0.5000
Nb 0.2456 0.2456 0.0000
Nb 0.7544 0.7544 0.0000
Zn 0.3773 0.8773 0.5000
Zn 0.5000 0.5000 0.0000
Zn 0.6227 0.1227 0.5000

Main lines, in order of rising 2θ (10° ≤ 2θ ≤ 90°):
2θ/deg, intensity
38.71, 100
43.45, 17
45.70, 15
45.81, 15
64.94, 19
76.57, 11
79.80, 11
79.96, 11

---

For Ti6NbZn, a cell relaxed with GGA-PBE gives the simulated XRD peak list in this record (λ = 1.5418 Å (Cu Kα)).

Structural model:
a b c (Å): 4.0295 4.0295 8.3350
angles (deg): 90.00 90.00 90.00
Positions (direct):
Ti 0.0000 0.0000 0.0000
Ti 0.0000 0.0000 0.5000
Ti 0.0000 0.5000 0.2438
Ti 0.0000 0.5000 0.7562
Ti 0.5000 0.0000 0.2438
Ti 0.5000 0.0000 0.7562
Nb 0.5000 0.5000 0.5000
Zn 0.5000 0.5000 0.0000

Main lines, in order of rising 2θ (10° ≤ 2θ ≤ 90°):
2θ/deg, intensity
38.27, 100
43.43, 17
44.99, 31
64.32, 19
65.52, 9
76.25, 11
78.49, 21
81.92, 9

---

For Ti2Nb3Zn3, a cell relaxed with GGA-PBE gives the simulated XRD peak list in this record (λ = 1.5418 Å (Cu Kα)).

Structural model:
a b c (Å): 3.8755 4.1340 8.2079
angles (deg): 90.00 90.00 90.00
Positions (direct):
Ti 0.0000 0.0000 0.2473
Ti 0.0000 0.0000 0.7527
Nb 0.0000 0.5000 0.5000
Nb 0.5000 0.5000 0.2442
Nb 0.5000 0.5000 0.7558
Zn 0.0000 0.5000 0.0000
Zn 0.5000 0.0000 0.0000
Zn 0.5000 0.0000 0.5000

Main lines, in order of rising 2θ (10° ≤ 2θ ≤ 90°):
2θ/deg, intensity
38.67, 100
43.80, 17
44.13, 17
46.89, 14
63.93, 11
77.04, 12
77.52, 12
81.51, 10

---

For TiNb4Zn, a cell relaxed with GGA-PBE gives the simulated XRD peak list in this record (λ = 1.5418 Å (Cu Kα)).

Structural model:
a b c (Å): 3.3994 3.3994 9.0904
angles (deg): 90.00 90.00 90.00
Positions (direct):
Ti 0.0000 0.0000 0.0000
Nb 0.0000 0.0000 0.3374
Nb 0.0000 0.0000 0.6626
Nb 0.5000 0.5000 0.1749
Nb 0.5000 0.5000 0.8251
Zn 0.5000 0.5000 0.5000

Main lines, in order of rising 2θ (10° ≤ 2θ ≤ 90°):
2θ/deg, intensity
37.41, 61
39.85, 100
53.94, 20
61.17, 7
69.13, 37
73.95, 15
79.80, 6
85.94, 10

---

For ZrTiNb14, a cell relaxed with GGA-PBE gives the simulated XRD peak list in this record (λ = 1.5418 Å (Cu Kα)).

Structural model:
a b c (Å): 5.8005 5.8005 9.3436
angles (deg): 90.00 90.00 110.36
Positions (direct):
Zr 0.0000 0.0000 0.0000
Ti 0.5000 0.5000 0.0000
Nb 0.0000 0.0000 0.5000
Nb 0.0000 0.5000 0.0000
Nb 0.0000 0.5000 0.5000
Nb 0.2514 0.7486 0.2472
Nb 0.2514 0.7486 0.7528
Nb 0.2527 0.2527 0.2585
Nb 0.2527 0.2527 0.7415
Nb 0.5000 0.0000 0.0000
Nb 0.5000 0.0000 0.5000
Nb 0.5000 0.5000 0.5000
Nb 0.7473 0.7473 0.2585
Nb 0.7473 0.7473 0.7415
Nb 0.7486 0.2514 0.2472
Nb 0.7486 0.2514 0.7528

Main lines, in order of rising 2θ (10° ≤ 2θ ≤ 90°):
2θ/deg, intensity
37.78, 26
38.30, 100
38.54, 24
55.08, 17
68.57, 17
69.09, 8
69.58, 24
82.01, 10

---

For Zr4NbTl3, a cell relaxed with GGA-PBE gives the simulated XRD peak list in this record (λ = 1.5418 Å (Cu Kα)).

Structural model:
a b c (Å): 8.2879 8.2879 8.2879
angles (deg): 145.96 145.96 48.91
Positions (direct):
Zr 0.1190 0.6190 0.5000
Zr 0.3810 0.8810 0.5000
Zr 0.6190 0.1190 0.5000
Zr 0.8810 0.3810 0.5000
Nb 0.0000 0.0000 0.0000
Tl 0.2453 0.2453 0.0000
Tl 0.5000 0.5000 0.0000
Tl 0.7547 0.7547 0.0000

Main lines, in order of rising 2θ (10° ≤ 2θ ≤ 90°):
2θ/deg, intensity
25.97, 10
35.36, 100
37.06, 45
48.25, 10
53.41, 16
62.36, 18
65.70, 33
74.81, 11

---

For Nb2V3, a cell relaxed with GGA-PBE gives the simulated XRD peak list in this record (λ = 1.5418 Å (Cu Kα)).

Structural model:
a b c (Å): 5.2083 5.2083 6.8001
angles (deg): 90.00 90.00 118.64
Positions (direct):
Nb 0.1653 0.8347 0.9006
Nb 0.3347 0.6653 0.4006
Nb 0.6653 0.3347 0.5994
Nb 0.8347 0.1653 0.0994
V 0.0000 0.0000 0.5000
V 0.1528 0.3472 0.7500
V 0.3472 0.1528 0.2500
V 0.5000 0.5000 0.0000
V 0.6528 0.8472 0.7500
V 0.8472 0.6528 0.2500

Main lines, in order of rising 2θ (10° ≤ 2θ ≤ 90°):
2θ/deg, intensity
32.83, 81
36.97, 100
41.69, 61
42.49, 20
43.21, 33
44.81, 43
62.47, 20
68.68, 24

---

For Nb5V2, a cell relaxed with GGA-PBE gives the simulated XRD peak list in this record (λ = 1.5418 Å (Cu Kα)).

Structural model:
a b c (Å): 11.5300 11.5300 11.5300
angles (deg): 163.82 163.82 22.96
Positions (direct):
Nb 0.0000 0.0000 0.0000
Nb 0.1506 0.1506 0.0000
Nb 0.4248 0.4248 0.0000
Nb 0.5752 0.5752 0.0000
Nb 0.8494 0.8494 0.0000
V 0.2809 0.2809 0.0000
V 0.7191 0.7191 0.0000

Main lines, in order of rising 2θ (10° ≤ 2θ ≤ 90°):
2θ/deg, intensity
34.01, 11
39.26, 53
39.37, 100
56.73, 17
57.06, 7
71.24, 32
71.45, 14
84.70, 9

---

For Nb13V3, a cell relaxed with GGA-PBE gives the simulated XRD peak list in this record (λ = 1.5418 Å (Cu Kα)).

Structural model:
a b c (Å): 6.5374 6.5330 6.5330
angles (deg): 89.56 90.00 90.00
Positions (direct):
Nb 0.0000 0.0000 0.0000
Nb 0.0000 0.0007 0.4896
Nb 0.0000 0.4896 0.0007
Nb 0.0000 0.4900 0.4900
Nb 0.2526 0.2421 0.7484
Nb 0.2525 0.7472 0.7472
Nb 0.2526 0.7484 0.2421
Nb 0.5000 0.0005 0.4876
Nb 0.5000 0.4876 0.0005
Nb 0.5000 0.4899 0.4899
Nb 0.7474 0.2421 0.7484
Nb 0.7475 0.7472 0.7472
Nb 0.7474 0.7484 0.2421
V 0.2540 0.2422 0.2422
V 0.5000 0.0009 0.0009
V 0.7460 0.2422 0.2422

Main lines, in order of rising 2θ (10° ≤ 2θ ≤ 90°):
2θ/deg, intensity
38.84, 25
38.98, 100
39.15, 25
56.32, 25
70.44, 24
70.70, 8
70.84, 16
83.72, 10

---

For NbV, a cell relaxed with GGA-PBE gives the simulated XRD peak list in this record (λ = 1.5418 Å (Cu Kα)).

Structural model:
a b c (Å): 5.2872 5.2872 3.1881
angles (deg): 105.91 105.91 120.54
Positions (direct):
Nb 0.1300 0.8700 0.7500
Nb 0.8700 0.1300 0.2500
V 0.3835 0.6165 0.2500
V 0.6165 0.3835 0.7500

Main lines, in order of rising 2θ (10° ≤ 2θ ≤ 90°):
2θ/deg, intensity
22.53, 10
39.20, 100
41.18, 58
41.32, 29
57.99, 13
58.30, 19
72.27, 11
72.50, 19

---

For NbV3, a cell relaxed with GGA-PBE gives the simulated XRD peak list in this record (λ = 1.5418 Å (Cu Kα)).

Structural model:
a b c (Å): 5.0899 5.1575 5.1827
angles (deg): 117.80 96.06 94.51
Positions (direct):
Nb 0.1310 0.0667 0.3123
Nb 0.8690 0.9333 0.6877
V 0.1314 0.5590 0.8175
V 0.3734 0.6763 0.4338
V 0.3861 0.2013 0.9432
V 0.6139 0.7988 0.0568
V 0.6266 0.3237 0.5662
V 0.8686 0.4410 0.1825

Main lines, in order of rising 2θ (10° ≤ 2θ ≤ 90°):
2θ/deg, intensity
40.77, 100
41.04, 100
41.15, 97
41.43, 95
41.56, 94
41.72, 93
59.49, 31
59.78, 30

---

For Nb7V, a cell relaxed with GGA-PBE gives the simulated XRD peak list in this record (λ = 1.5418 Å (Cu Kα)).

Structural model:
a b c (Å): 7.3508 7.3508 7.3508
angles (deg): 143.18 143.18 53.05
Positions (direct):
Nb 0.0000 0.0000 0.0000
Nb 0.1223 0.6223 0.5000
Nb 0.2524 0.2524 0.0000
Nb 0.3777 0.8777 0.5000
Nb 0.6223 0.1223 0.5000
Nb 0.7476 0.7476 0.0000
Nb 0.8777 0.3777 0.5000
V 0.5000 0.5000 0.0000

Main lines, in order of rising 2θ (10° ≤ 2θ ≤ 90°):
2θ/deg, intensity
20.28, 1
27.99, 1
30.43, 1
38.77, 100
55.92, 5
56.02, 11
70.18, 33
83.18, 10

---

For Nb3V2, a cell relaxed with GGA-PBE gives the simulated XRD peak list in this record (λ = 1.5418 Å (Cu Kα)).

Structural model:
a b c (Å): 9.2322 4.6845 9.7890
angles (deg): 69.22 28.32 82.46
Positions (direct):
Nb 0.0000 0.0000 0.0000
Nb 0.2500 0.2500 0.2500
Nb 0.2769 0.7254 0.6129
Nb 0.6371 0.8652 0.9731
Nb 0.7254 0.2769 0.3848
Nb 0.8652 0.6371 0.5246
V 0.3840 0.5657 0.7896
V 0.4604 0.9893 0.8660
V 0.5657 0.3840 0.2607
V 0.9893 0.4604 0.6843

Main lines, in order of rising 2θ (10° ≤ 2θ ≤ 90°):
2θ/deg, intensity
33.28, 51
37.58, 36
38.78, 100
39.13, 62
41.44, 21
41.72, 43
61.44, 24
70.88, 17